Starting from a GGA-PBE-relaxed structure, the powder X-ray diffraction pattern of Cs2PtBr6O was calculated for λ = 1.5418 Å (Cu Kα).
Peak positions follow from Bragg's law for the DFT cell and can differ from measured ones.

Top 12 peaks for 15 to 90 degrees two-theta, in order of rising 2θ:
2θ 23.1, d = 3.854 Å, rel. 70
2θ 25.0, d = 3.566 Å, rel. 25
2θ 29.0, d = 3.081 Å, rel. 42
2θ 29.2, d = 3.062 Å, rel. 100
2θ 29.9, d = 2.988 Å, rel. 66
2θ 35.6, d = 2.521 Å, rel. 98
2θ 42.9, d = 2.110 Å, rel. 27
2θ 47.2, d = 1.927 Å, rel. 73
2θ 47.5, d = 1.913 Å, rel. 24
2θ 51.2, d = 1.783 Å, rel. 34
2θ 60.5, d = 1.531 Å, rel. 34
2θ 62.2, d = 1.493 Å, rel. 24

Structure:
```
data_Cs2PtBr6O
_cell_length_a 7.1311
_cell_length_b 7.1311
_cell_length_c 11.9501
_cell_angle_alpha 90.00
_cell_angle_beta 90.00
_cell_angle_gamma 90.00
_symmetry_space_group_name_H-M 'I 4/m m m'
_symmetry_Int_Tables_number 139
_symmetry_space_group_name_Hall '-I 4 2'
loop_
_atom_site_label
_atom_site_type_symbol
_atom_site_fract_x
_atom_site_fract_y
_atom_site_fract_z
Cs1 Cs 0.0000 0.5000 0.2500
Pt1 Pt 0.0000 0.0000 0.0000
Br1 Br 0.0000 0.0000 0.2076
Br2 Br 0.2403 0.2403 0.5000
O1 O 0.0000 0.0000 0.5000
```